No. 1
This entry pairs a crystal structure of Na2PaSnS5 with its theoretical powder XRD pattern. Radiation: a wavelength of 1.5418 Å. Structure: the GGA-PBE geometry in Alexandria.
Kinematic intensities with the Lorentz-polarization factor, no thermal factor.

Crystal structure
abc: 4.1293 13.5730 8.6137
angles: 90.00 103.87 90.00
Space group P2_1 (No. 4)
Unique sites:
Na 0.0796 0.0000 0.1592 x2
Na 0.1223 0.6453 0.2458 x2
Pa 0.2382 0.3728 0.4772 x2
Sn 0.4562 0.7757 0.9114 x2
S 0.0752 0.3889 0.1515 x2
S 0.2590 0.9975 0.5172 x2
S 0.2881 0.7469 0.5754 x2
S 0.3870 0.3397 0.7749 x2
S 0.4971 0.1055 0.9939 x2

Largest 6 diffraction maxima, low angle first, 2θ from 10° to 90°:
2theta  I_rel
13.05  100
16.82  60
23.13  40
27.68  38
29.78  75
48.46  44


No. 2
This entry pairs a crystal structure of Sm8Tm6Sc with its theoretical powder XRD pattern. Radiation: a wavelength of 1.5418 Å. Structure: the GGA-PBE geometry in Alexandria.
Kinematic intensities with the Lorentz-polarization factor, no thermal factor.

Crystal structure
abc: 9.8292 9.8292 5.7869
angles: 90.00 90.00 120.00
Space group P-3 (No. 147)
Unique sites:
Sm 0.0516 0.2733 0.2641 x6
Sm 0.3333 0.6667 0.2644 x2
Tm 0.0927 0.4732 0.7543 x6
Sc 0.0000 0.0000 0.0000 x1

Largest 6 diffraction maxima, low angle first, 2θ from 10° to 90°:
2theta  I_rel
27.73  24
30.90  25
31.82  100
49.04  18
55.55  20
59.10  19


No. 3
This entry pairs a crystal structure of LiInSn2F6 with its theoretical powder XRD pattern. Radiation: a wavelength of 1.5418 Å. Structure: the GGA-PBE geometry in Alexandria.
Kinematic intensities with the Lorentz-polarization factor, no thermal factor.

Crystal structure
abc: 5.6785 6.1787 6.5047
angles: 108.19 93.82 113.31
Space group P1 (No. 1)
Unique sites:
Li 0.0000 0.0000 0.0000 x1
In 0.4274 0.8957 0.4091 x1
Sn 0.1995 0.4925 0.7169 x1
Sn 0.6705 0.3256 0.1067 x1
F 0.0312 0.2985 0.9358 x1
F 0.3104 0.1404 0.2324 x1
F 0.4320 0.1664 0.7816 x1
F 0.6458 0.9552 0.0328 x1
F 0.8458 0.2260 0.4735 x1
F 0.9762 0.6873 0.8298 x1

Largest 6 diffraction maxima, low angle first, 2θ from 10° to 90°:
2theta  I_rel
18.14  100
25.24  98
26.24  70
27.84  75
28.14  75
31.62  68


No. 4
This entry pairs a crystal structure of VCr14Mo with its theoretical powder XRD pattern. Radiation: a wavelength of 1.5418 Å. Structure: the GGA-PBE geometry in Alexandria.
Kinematic intensities with the Lorentz-polarization factor, no thermal factor.

Crystal structure
abc: 5.7876 8.1559 8.2007
angles: 90.00 90.00 90.00
Space group Cmmm (No. 65)
Unique sites:
V 0.0000 0.0000 0.0000 x2
Cr 0.0000 0.0000 0.5000 x2
Cr 0.0000 0.2482 0.2540 x8
Cr 0.0000 0.5000 0.5000 x2
Cr 0.2480 0.0000 0.2565 x8
Cr 0.2500 0.2500 0.0000 x4
Cr 0.2500 0.2500 0.5000 x4
Mo 0.0000 0.5000 0.0000 x2

Largest 6 diffraction maxima, low angle first, 2θ from 10° to 90°:
2theta  I_rel
44.18  25
44.28  100
44.43  25
64.43  22
81.37  21
81.72  14